Record 1
This entry pairs a crystal structure of TmSn4 with its calculated powder diffraction line list. Radiation: a wavelength of 1.5418 Å. Structure: a structure optimized by DFT (GGA-PBE).

Atomic structure:
Lattice parameters (Å, degrees): 9.952 9.952 9.952 153.52 142.44 46.55
Fractional positions:
Tm 0.339 0.089 0.250
Tm 0.661 0.911 0.750
Sn 0.000 0.500 0.500
Sn 0.153 0.903 0.250
Sn 0.189 0.691 0.497
Sn 0.306 0.309 0.997
Sn 0.500 0.500 0.000
Sn 0.694 0.691 0.003
Sn 0.811 0.309 0.503
Sn 0.847 0.097 0.750

The 10 most intense peaks (2θ from 10° to 90°), by angle:
- 2θ = 31.36°, I = 100
- 2θ = 34.18°, I = 23
- 2θ = 34.57°, I = 79
- 2θ = 39.53°, I = 29
- 2θ = 40.87°, I = 36
- 2θ = 49.87°, I = 11
- 2θ = 53.23°, I = 13
- 2θ = 58.16°, I = 26
- 2θ = 66.63°, I = 33
- 2θ = 67.00°, I = 24


Record 2
This entry pairs a crystal structure of Sm6BiAs4 with its calculated powder diffraction line list. Radiation: a wavelength of 1.5418 Å. Structure: a structure optimized by DFT (GGA-PBE).

Atomic structure:
Lattice parameters (Å, degrees): 7.250 7.250 21.356 90.00 90.00 145.80
Fractional positions:
Sm 0.000 0.000 0.000
Sm 0.000 0.000 0.500
Sm 0.167 0.833 0.750
Sm 0.272 0.728 0.082
Sm 0.272 0.728 0.418
Sm 0.461 0.539 0.659
Sm 0.461 0.539 0.841
Sm 0.539 0.461 0.159
Sm 0.539 0.461 0.341
Sm 0.728 0.272 0.582
Sm 0.728 0.272 0.918
Sm 0.833 0.167 0.250
Bi 0.162 0.838 0.250
Bi 0.838 0.162 0.750
As 0.093 0.907 0.625
As 0.093 0.907 0.875
As 0.363 0.637 0.542
As 0.363 0.637 0.958
As 0.637 0.363 0.042
As 0.637 0.363 0.458
As 0.907 0.093 0.125
As 0.907 0.093 0.375

The 10 most intense peaks (2θ from 10° to 90°), by angle:
- 2θ = 27.53°, I = 26
- 2θ = 28.19°, I = 70
- 2θ = 28.80°, I = 31
- 2θ = 29.71°, I = 100
- 2θ = 31.19°, I = 35
- 2θ = 40.39°, I = 25
- 2θ = 42.40°, I = 61
- 2θ = 42.65°, I = 18
- 2θ = 51.69°, I = 27
- 2θ = 70.14°, I = 19